Record 1
Structure and calculated X-ray diffraction stick pattern of KTcOs (a cell relaxed with GGA-PBE; Cu Kα).
Neutral-atom scattering factors, no anomalous dispersion.

Largest 8 diffraction maxima, low angle first, 2θ = 10–80°:
Position (°2θ)	I_rel
10.91	100.0
33.15	19.9
38.41	19.7
40.07	72.9
46.14	21.5
51.63	11.2
70.60	14.4
74.97	11.6

Cell and atoms:
```
data_KTcOs
_cell_length_a 2.9138
_cell_length_b 4.6872
_cell_length_c 16.2127
_cell_angle_alpha 90.00
_cell_angle_beta 90.00
_cell_angle_gamma 90.00
_space_group_name_H-M_alt 'F m m 2'
_space_group_IT_number 42
_space_group_name_Hall 'F 2 -2'
loop_
_atom_site_label
_atom_site_fract_x
_atom_site_fract_y
_atom_site_fract_z
K1 0.0000 0.0000 0.0000
Tc1 0.0000 0.0000 0.3116
Os1 0.0000 0.0000 0.6813
```



Record 2
Structure and calculated X-ray diffraction stick pattern of KSiB (a cell relaxed with GGA-PBE; Cu Kα).
Neutral-atom scattering factors, no anomalous dispersion.

Largest 8 diffraction maxima, low angle first, 2θ = 10–80°:
Position (°2θ)	I_rel
29.16	15.4
33.28	49.8
33.51	66.0
33.67	100.0
51.47	22.0
59.71	15.6
62.69	27.0
63.12	17.6

Cell and atoms:
```
data_KSiB
_cell_length_a 3.5293
_cell_length_b 5.3851
_cell_length_c 6.1623
_cell_angle_alpha 90.00
_cell_angle_beta 90.00
_cell_angle_gamma 90.00
_space_group_name_H-M_alt 'P m m m'
_space_group_IT_number 47
loop_
_space_group_symop_operation_xyz
'x,y,z'
'-x,-y,-z'
'-x,-y,z'
'x,y,-z'
'x,-y,-z'
'-x,y,z'
'-x,y,-z'
'x,-y,z'
loop_
_atom_site_label
_atom_site_fract_x
_atom_site_fract_y
_atom_site_fract_z
K1 0.0000 0.0000 0.0000
K2 0.5000 0.0000 0.5000
Si1 0.0000 0.5000 0.3067
B1 0.5000 0.5000 0.1391
```



Record 3
Structure and calculated X-ray diffraction stick pattern of ErAgRu (a cell relaxed with GGA-PBE; Cu Kα).
Neutral-atom scattering factors, no anomalous dispersion.

Largest 8 diffraction maxima, low angle first, 2θ = 10–80°:
Position (°2θ)	I_rel
26.47	32.6
33.12	53.1
37.10	88.8
37.80	28.4
38.48	39.4
38.63	69.8
39.13	100.0
51.78	29.7

Cell and atoms:
```
data_ErAgRu
_cell_length_a 5.3021
_cell_length_b 4.6610
_cell_length_c 5.4263
_cell_angle_alpha 90.00
_cell_angle_beta 116.14
_cell_angle_gamma 90.00
_space_group_name_H-M_alt 'P 1 21/m 1'
_space_group_IT_number 11
loop_
_space_group_symop_operation_xyz
'x,y,z'
'-x,-y,-z'
'-x,y+1/2,-z'
'x,-y+1/2,z'
loop_
_atom_site_label
_atom_site_fract_x
_atom_site_fract_y
_atom_site_fract_z
Er1 0.0061 0.2500 0.2468
Ag1 0.3783 0.2500 0.8583
Ru1 0.4305 0.7500 0.5544
```



Record 4
Structure and calculated X-ray diffraction stick pattern of ZnInGaO4 (a cell relaxed with GGA-PBE; Cu Kα).
Neutral-atom scattering factors, no anomalous dispersion.

Largest 8 diffraction maxima, low angle first, 2θ = 10–80°:
Position (°2θ)	I_rel
30.70	66.4
30.99	85.3
33.77	100.0
35.34	83.9
46.69	46.6
54.76	63.0
58.68	41.7
64.10	46.2

Cell and atoms:
```
data_ZnInGaO4
_cell_length_a 3.3526
_cell_length_b 3.3526
_cell_length_c 26.2096
_cell_angle_alpha 90.00
_cell_angle_beta 90.00
_cell_angle_gamma 120.00
_space_group_name_H-M_alt 'R 3 m'
_space_group_IT_number 160
_space_group_name_Hall 'R 3 -2"'
loop_
_atom_site_label
_atom_site_fract_x
_atom_site_fract_y
_atom_site_fract_z
Zn1 0.0000 0.0000 0.0000
In1 0.0000 0.0000 0.7841
Ga1 0.0000 0.0000 0.5677
O1 0.0000 0.0000 0.0763
O2 0.0000 0.0000 0.4924
O3 0.0000 0.0000 0.6446
O4 0.0000 0.0000 0.9024
```



Record 5
Structure and calculated X-ray diffraction stick pattern of Dy5Er (a cell relaxed with GGA-PBE; Cu Kα).
Neutral-atom scattering factors, no anomalous dispersion.

Largest 8 diffraction maxima, low angle first, 2θ = 10–80°:
Position (°2θ)	I_rel
28.58	23.9
31.92	23.9
32.82	100.0
43.37	15.5
50.61	19.8
57.46	20.4
61.10	22.6
61.64	16.5

Cell and atoms:
```
data_Dy5Er
_cell_length_a 12.8408
_cell_length_b 3.6091
_cell_length_c 8.3869
_cell_angle_alpha 90.00
_cell_angle_beta 102.79
_cell_angle_gamma 90.00
_space_group_name_H-M_alt 'C 1 m 1'
_space_group_IT_number 8
loop_
_space_group_symop_operation_xyz
'x,y,z'
'x,-y,z'
'x+1/2,y+1/2,z'
'x+1/2,-y+1/2,z'
loop_
_atom_site_label
_atom_site_fract_x
_atom_site_fract_y
_atom_site_fract_z
Dy1 0.0000 0.0000 0.0000
Dy2 0.0552 0.0000 0.6122
Dy3 0.1666 0.5000 0.3339
Dy4 0.3326 0.0000 0.6682
Dy5 0.3884 0.0000 0.2775
Er1 0.2219 0.5000 0.9453
```



Record 6
Structure and calculated X-ray diffraction stick pattern of Ba3P3I2 (a cell relaxed with GGA-PBE; Cu Kα).
Neutral-atom scattering factors, no anomalous dispersion.

Largest 8 diffraction maxima, low angle first, 2θ = 10–80°:
Position (°2θ)	I_rel
21.15	23.2
24.02	18.0
25.43	20.8
26.85	24.5
27.64	100.0
28.13	16.7
33.29	33.5
39.25	23.0

Cell and atoms:
```
data_Ba3P3I2
_cell_length_a 17.5560
_cell_length_b 4.5908
_cell_length_c 14.3551
_cell_angle_alpha 90.00
_cell_angle_beta 90.00
_cell_angle_gamma 90.00
_space_group_name_H-M_alt 'P n m a'
_space_group_IT_number 62
loop_
_space_group_symop_operation_xyz
'x,y,z'
'-x,-y,-z'
'-x+1/2,-y,z+1/2'
'x+1/2,y,-z+1/2'
'x+1/2,-y+1/2,-z+1/2'
'-x+1/2,y+1/2,z+1/2'
'-x,y+1/2,-z'
'x,-y+1/2,z'
loop_
_atom_site_label
_atom_site_fract_x
_atom_site_fract_y
_atom_site_fract_z
Ba1 0.1292 0.2500 0.1152
Ba2 0.1448 0.7500 0.4574
Ba3 0.1596 0.7500 0.7874
P1 0.2108 0.7500 0.2458
P2 0.2150 0.2500 0.6252
P3 0.2242 0.7500 0.9948
I1 0.0082 0.2500 0.3664
I2 0.0301 0.2500 0.8864
```



Record 7
Structure and calculated X-ray diffraction stick pattern of U2Co2Ge3 (a cell relaxed with GGA-PBE; Cu Kα).
Neutral-atom scattering factors, no anomalous dispersion.

Largest 8 diffraction maxima, low angle first, 2θ = 10–80°:
Position (°2θ)	I_rel
24.31	33.2
29.57	20.8
33.39	25.4
35.16	99.6
36.04	100.0
43.41	50.2
46.31	30.5
65.33	22.1

Cell and atoms:
```
data_U2Co2Ge3
_cell_length_a 4.1708
_cell_length_b 17.6394
_cell_length_c 6.5654
_cell_angle_alpha 90.00
_cell_angle_beta 90.00
_cell_angle_gamma 90.00
_space_group_name_H-M_alt 'C m c m'
_space_group_IT_number 63
_space_group_name_Hall '-C 2c 2'
loop_
_atom_site_label
_atom_site_fract_x
_atom_site_fract_y
_atom_site_fract_z
U1 0.0000 0.0466 0.2500
U2 0.0000 0.1643 0.7500
Co1 0.0000 0.2995 0.5472
Ge1 0.0000 0.2138 0.2500
Ge2 0.0000 0.4312 0.0558
```



Record 8
Structure and calculated X-ray diffraction stick pattern of PmScO3 (a cell relaxed with GGA-PBE; Cu Kα).
Neutral-atom scattering factors, no anomalous dispersion.

Largest 8 diffraction maxima, low angle first, 2θ = 10–80°:
Position (°2θ)	I_rel
11.65	100.0
22.37	40.0
24.90	35.0
28.51	81.6
29.21	46.4
31.95	50.7
33.24	32.4
44.86	31.8

Cell and atoms:
```
data_PmScO3
_cell_length_a 5.6410
_cell_length_b 3.8241
_cell_length_c 7.8595
_cell_angle_alpha 90.00
_cell_angle_beta 104.84
_cell_angle_gamma 90.00
_space_group_name_H-M_alt 'P 1 21/m 1'
_space_group_IT_number 11
loop_
_space_group_symop_operation_xyz
'x,y,z'
'-x,-y,-z'
'-x,y+1/2,-z'
'x,-y+1/2,z'
loop_
_atom_site_label
_atom_site_fract_x
_atom_site_fract_y
_atom_site_fract_z
Pm1 0.2151 0.2500 0.3905
Sc1 0.4190 0.2500 0.8350
O1 0.0851 0.2500 0.6639
O2 0.4283 0.2500 0.1076
O3 0.4346 0.7500 0.3739
```



Record 9
Structure and calculated X-ray diffraction stick pattern of LaPm2NdSm6 (a cell relaxed with GGA-PBE; Cu Kα).
Neutral-atom scattering factors, no anomalous dispersion.

Largest 8 diffraction maxima, low angle first, 2θ = 10–80°:
Position (°2θ)	I_rel
27.99	68.1
29.61	62.5
30.03	89.5
30.65	70.8
30.88	55.0
31.03	100.0
31.56	35.1
32.61	75.2

Cell and atoms:
```
data_LaPm2NdSm6
_cell_length_a 9.2080
_cell_length_b 15.3953
_cell_length_c 9.9582
_cell_angle_alpha 90.00
_cell_angle_beta 98.92
_cell_angle_gamma 90.00
_space_group_name_H-M_alt 'C 1 2/c 1'
_space_group_IT_number 15
loop_
_space_group_symop_operation_xyz
'x,y,z'
'-x,-y,-z'
'-x,y,-z+1/2'
'x,-y,z+1/2'
'x+1/2,y+1/2,z'
'-x+1/2,-y+1/2,-z'
'-x+1/2,y+1/2,-z+1/2'
'x+1/2,-y+1/2,z+1/2'
loop_
_atom_site_label
_atom_site_fract_x
_atom_site_fract_y
_atom_site_fract_z
La1 0.0000 0.0955 0.2500
Pm1 0.2402 0.4495 0.0420
Nd1 0.0000 0.4792 0.7500
Sm1 0.0682 0.3140 0.4439
Sm2 0.1002 0.1044 0.6220
Sm3 0.1998 0.2731 0.8187
```



Record 10
Structure and calculated X-ray diffraction stick pattern of La5CCl5 (a cell relaxed with GGA-PBE; Cu Kα).
Neutral-atom scattering factors, no anomalous dispersion.

Largest 8 diffraction maxima, low angle first, 2θ = 10–80°:
Position (°2θ)	I_rel
11.20	39.1
26.34	44.8
27.18	48.6
30.98	100.0
31.05	60.7
35.98	30.5
44.43	71.3
56.04	24.5

Cell and atoms:
```
data_La5CCl5
_cell_length_a 12.6701
_cell_length_b 5.7613
_cell_length_c 8.3607
_cell_angle_alpha 90.00
_cell_angle_beta 109.09
_cell_angle_gamma 90.00
_space_group_name_H-M_alt 'C 1 2/m 1'
_space_group_IT_number 12
loop_
_space_group_symop_operation_xyz
'x,y,z'
'-x,-y,-z'
'-x,y,-z'
'x,-y,z'
'x+1/2,y+1/2,z'
'-x+1/2,-y+1/2,-z'
'-x+1/2,y+1/2,-z'
'x+1/2,-y+1/2,z'
loop_
_atom_site_label
_atom_site_fract_x
_atom_site_fract_y
_atom_site_fract_z
La1 0.0000 0.0000 0.0000
La2 0.1461 0.5000 0.2842
La3 0.1614 0.5000 0.8657
C1 0.0000 0.5000 0.0000
Cl1 0.0000 0.5000 0.5000
Cl2 0.1510 0.0000 0.8005
Cl3 0.1686 0.0000 0.3473
```



Record 11
Structure and calculated X-ray diffraction stick pattern of Tm8Ga3Sb2 (a cell relaxed with GGA-PBE; Cu Kα).
Neutral-atom scattering factors, no anomalous dispersion.

Largest 8 diffraction maxima, low angle first, 2θ = 10–80°:
Position (°2θ)	I_rel
24.31	15.7
25.66	28.7
35.64	100.0
36.33	24.5
36.87	24.8
52.73	17.6
64.92	17.3
65.62	16.9

Cell and atoms:
```
data_Tm8Ga3Sb2
_cell_length_a 9.8905
_cell_length_b 14.6443
_cell_length_c 4.8758
_cell_angle_alpha 90.00
_cell_angle_beta 90.00
_cell_angle_gamma 90.00
_space_group_name_H-M_alt 'C m m m'
_space_group_IT_number 65
_space_group_name_Hall '-C 2 2'
loop_
_atom_site_label
_atom_site_fract_x
_atom_site_fract_y
_atom_site_fract_z
Tm1 0.0000 0.1128 0.0000
Tm2 0.0000 0.3784 0.0000
Tm3 0.2438 0.3821 0.5000
Ga1 0.0000 0.5000 0.5000
Ga2 0.2438 0.0000 0.0000
Sb1 0.0000 0.2403 0.5000
```



Record 12
Structure and calculated X-ray diffraction stick pattern of Np2UP (a cell relaxed with GGA-PBE; Cu Kα).
Neutral-atom scattering factors, no anomalous dispersion.

Largest 8 diffraction maxima, low angle first, 2θ = 10–80°:
Position (°2θ)	I_rel
30.83	100.0
31.40	42.2
41.54	20.3
46.70	38.7
49.53	27.4
54.44	26.3
63.89	26.1
70.73	16.2

Cell and atoms:
```
data_Np2UP
_cell_length_a 3.3706
_cell_length_b 3.3706
_cell_length_c 26.0833
_cell_angle_alpha 90.00
_cell_angle_beta 90.00
_cell_angle_gamma 120.00
_space_group_name_H-M_alt 'R -3 m'
_space_group_IT_number 166
_space_group_name_Hall '-R 3 2"'
loop_
_atom_site_label
_atom_site_fract_x
_atom_site_fract_y
_atom_site_fract_z
Np1 0.0000 0.0000 0.0953
U1 0.0000 0.0000 0.0000
P1 0.0000 0.0000 0.5000
```



Record 13
Structure and calculated X-ray diffraction stick pattern of PaFe4Re (a cell relaxed with GGA-PBE; Cu Kα).
Neutral-atom scattering factors, no anomalous dispersion.

Largest 8 diffraction maxima, low angle first, 2θ = 10–80°:
Position (°2θ)	I_rel
22.12	32.0
36.51	80.0
43.10	100.0
45.12	9.7
57.73	8.7
65.71	29.7
70.26	30.8
77.58	21.4

Cell and atoms:
```
data_PaFe4Re
_cell_length_a 6.9613
_cell_length_b 6.9613
_cell_length_c 6.9613
_cell_angle_alpha 90.00
_cell_angle_beta 90.00
_cell_angle_gamma 90.00
_space_group_name_H-M_alt 'F -4 3 m'
_space_group_IT_number 216
_space_group_name_Hall 'F -4 2 3'
loop_
_atom_site_label
_atom_site_fract_x
_atom_site_fract_y
_atom_site_fract_z
Pa1 0.0000 0.0000 0.0000
Fe1 0.1236 0.1236 0.6236
Re1 0.2500 0.2500 0.2500
```



Record 14
Structure and calculated X-ray diffraction stick pattern of GdYNi (a cell relaxed with GGA-PBE; Cu Kα).
Neutral-atom scattering factors, no anomalous dispersion.

Largest 8 diffraction maxima, low angle first, 2θ = 10–80°:
Position (°2θ)	I_rel
26.96	33.6
28.44	18.5
33.81	100.0
37.09	55.5
44.75	30.1
47.40	18.3
53.46	19.0
64.77	29.2

Cell and atoms:
```
data_GdYNi
_cell_length_a 3.4277
_cell_length_b 3.4277
_cell_length_c 12.5513
_cell_angle_alpha 90.00
_cell_angle_beta 90.00
_cell_angle_gamma 90.00
_space_group_name_H-M_alt 'I 4 m m'
_space_group_IT_number 107
_space_group_name_Hall 'I 4 -2'
loop_
_atom_site_label
_atom_site_fract_x
_atom_site_fract_y
_atom_site_fract_z
Gd1 0.0000 0.0000 0.0000
Y1 0.0000 0.0000 0.7390
Ni1 0.0000 0.0000 0.3674
```